Computed powder diffraction line list
Compound: HfNi2GeO6
Radiation: Cu Kα
Structure: a DFT-relaxed cell (PBE+U, Alexandria)
Intensities are scaled so that the largest is 1000.

Structure:
a = 5.1360 Å, b = 5.1360 Å, c = 13.9123 Å
α = 90.00°, β = 90.00°, γ = 120.00°
Space group R3 (No. 146, hexagonal axes)
Inequivalent atoms, fractional coordinates:
Hf  0.0000  0.0000  0.0000 x3
Ni  0.0000  0.0000  0.2919 x3
Ni  0.0000  0.0000  0.7961 x3
Ge  0.0000  0.0000  0.4965 x3
O  0.0351  0.3369  0.5626 x9
O  0.0465  0.6783  0.0691 x9

The 10 most intense peaks (2θ = 10–80°), in order of rising 2θ:
two_theta	I (rel.)	(hkl)
20.97	270	1 0 1
23.74	649	0 1 2
32.68	1000	1 0 4
34.94	936	1 1 0
40.14	184	1 1 3
48.59	395	0 2 4
53.22	560	2 -1 6
61.24	357	3 -1 4
62.66	312	3 0 0
70.99	149	1 0 10